Structure and computed powder diffraction line list of LiFeBO3 (the PBE+U geometry in Alexandria; Cu Kα (weighted mean of Kα1 and Kα2)).

Cell and atoms:
```
24
Lattice="3.1931 0.0000 0.0000 0.0452 9.0777 0.0000 0.1430 0.0003 9.5767" Properties=species:S:1:pos:R:3 pbc="T T T"
Li 0.8078 3.3529 1.9482
Li 0.8772 1.1847 6.7347
Li 2.5041 7.8933 2.8420
Li 2.5735 5.7251 7.6285
Fe 0.9385 6.4088 5.3375
Fe 0.8700 7.2042 0.5476
Fe 2.5113 1.8738 9.0291
Fe 2.4428 2.6692 4.2392
B 0.8183 0.9563 2.0330
B 0.9140 3.5805 6.8255
B 2.4673 5.4975 2.7512
B 2.5630 8.1218 7.5437
O 0.7455 1.7177 3.1912
O 0.8266 2.8208 7.9869
O 0.8452 1.6768 0.8197
O 0.9327 2.8577 5.6160
O 0.9136 8.6676 2.0813
O 0.9844 4.9455 6.8756
O 2.3969 4.1325 2.7011
O 2.4676 0.4104 7.4954
O 2.4486 6.2203 3.9607
O 2.5360 7.4012 8.7571
O 2.5547 6.2573 1.5898
O 2.6358 7.3604 6.3855
```

The 10 most intense peaks (10° ≤ 2θ ≤ 90°), sorted by position:
d 6.588, 13.44 deg, I 69; d 4.539, 19.56 deg, I 100; d 4.235, 20.98 deg, I 59; d 3.294, 27.07 deg, I 71; d 2.885, 31.00 deg, I 58; d 2.862, 31.26 deg, I 17; d 2.675, 33.50 deg, I 23; d 2.566, 34.97 deg, I 29; d 2.533, 35.43 deg, I 28; d 1.596, 57.75 deg, I 19